Record 1
This entry pairs a crystal structure of Pm14HoSc with its simulated X-ray powder pattern. Radiation: Cu Kα X-rays. Structure: a GGA-PBE-relaxed structure.
No peak broadening, texture or thermal motion is included.

Structure:
a b c (Å): 7.247 7.247 10.211
angles (deg): 90.00 90.00 90.00
Space group P4/mmm (No. 123)
Inequivalent atoms, fractional coordinates:
Pm (0.000, 0.000, 0.000) [1 per cell]
Pm (0.000, 0.500, 0.000) [2 per cell]
Pm (0.000, 0.500, 0.500) [2 per cell]
Pm (0.248, 0.248, 0.254) [8 per cell]
Pm (0.500, 0.500, 0.000) [1 per cell]
Ho (0.500, 0.500, 0.500) [1 per cell]
Sc (0.000, 0.000, 0.500) [1 per cell]

Top 8 peaks for 10° ≤ 2θ ≤ 90°, most intense first:
30.25 deg, intensity 100.0, (2 0 2); 50.43 deg, intensity 36.0, (4 0 0); 35.02 deg, intensity 33.9, (2 2 0); 59.89 deg, intensity 28.7, (4 2 2); 35.16 deg, intensity 16.7, (0 0 4); 60.06 deg, intensity 14.0, (2 0 6); 62.91 deg, intensity 12.3, (4 0 4); 82.13 deg, intensity 11.5, (4 2 6)

Record 2
This entry pairs a crystal structure of La2Tb2Nd4Dy with its simulated X-ray powder pattern. Radiation: Cu Kα X-rays. Structure: a GGA-PBE-relaxed structure.
No peak broadening, texture or thermal motion is included.

Structure:
a b c (Å): 19.110 3.694 9.789
angles (deg): 90.00 115.67 90.00
Space group C2/m (No. 12)
Inequivalent atoms, fractional coordinates:
La (0.166, 0.000, 0.498) [4 per cell]
Tb (0.148, 0.500, 0.166) [4 per cell]
Nd (0.019, 0.000, 0.835) [4 per cell]
Nd (0.186, 0.500, 0.834) [4 per cell]
Dy (0.000, 0.500, 0.500) [2 per cell]

Top 8 peaks for 10° ≤ 2θ ≤ 90°, most intense first:
31.11 deg, intensity 100.0, (3 1 -2); 32.76 deg, intensity 88.4, (3 1 1); 30.39 deg, intensity 50.2, (0 0 3); 28.16 deg, intensity 36.3, (6 0 -1); 59.22 deg, intensity 30.2, (9 1 1); 49.52 deg, intensity 25.9, (9 1 -2); 53.37 deg, intensity 21.6, (3 1 -5); 56.58 deg, intensity 18.9, (3 1 4)